Structure and computed powder X-ray diffraction pattern of Ba2Fe2ClF7 (DFT lattice parameters and positions (PBE+U); Cu Kα).

Top 10 peaks for 2θ from 15° to 90°, sorted by position:
two_theta	d/Å	I (rel.)	(hkl)
23.25	3.825	23	2 0 0
25.41	3.505	100	0 1 2
26.15	3.407	26	2 0 -2
27.89	3.199	65	2 1 0
30.65	2.917	25	0 2 0
38.83	2.319	20	2 2 0
39.36	2.289	26	1 0 -4
40.73	2.215	39	1 2 2
50.20	1.817	14	4 1 0
51.41	1.777	14	0 3 2

Structural model:
a b c (Å): 7.9936 5.8327 9.1559
angles (deg): 90.00 106.84 90.00
Positions (direct):
Ba 0.1655 0.2500 0.4123
Ba 0.1912 0.2500 0.9254
Ba 0.8088 0.7500 0.0746
Ba 0.8345 0.7500 0.5877
Fe 0.3168 0.7500 0.1748
Fe 0.3258 0.7500 0.7343
Fe 0.6742 0.2500 0.2657
Fe 0.6832 0.2500 0.8252
Cl 0.3812 0.7500 0.4694
Cl 0.6188 0.2500 0.5306
F 0.1257 0.5066 0.1609
F 0.1257 0.9934 0.1609
F 0.1349 0.5019 0.6527
F 0.1349 0.9981 0.6527
F 0.2392 0.7500 0.9323
F 0.4934 0.0031 0.1680
F 0.4934 0.4969 0.1680
F 0.5066 0.5031 0.8320
F 0.5066 0.9969 0.8320
F 0.7608 0.2500 0.0677
F 0.8651 0.0019 0.3473
F 0.8651 0.4981 0.3473
F 0.8743 0.0066 0.8391
F 0.8743 0.4934 0.8391